This entry pairs a crystal structure of Li3Fe2Si2O8 with its computed powder XRD pattern. Radiation: Cu Kα, 1.54184 Å. Structure: a DFT-relaxed cell (GGA+U, Alexandria).

Structure:
a = 5.061 Å, b = 5.364 Å, c = 6.553 Å
α = 89.07°, β = 89.63°, γ = 89.38°
Positions (direct):
Li 0.000 0.000 0.000
Li 0.010 0.537 0.743
Li 0.504 0.355 0.497
Fe 0.005 0.010 0.483
Fe 0.506 0.357 0.003
Si 0.000 0.508 0.252
Si 0.496 0.870 0.746
O 0.057 0.803 0.239
O 0.110 0.381 0.468
O 0.130 0.370 0.044
O 0.171 0.871 0.751
O 0.602 0.571 0.771
O 0.607 0.004 0.540
O 0.610 0.029 0.942
O 0.681 0.444 0.241

Principal peaks in the range 10° ≤ 2θ ≤ 80°, low angle first:
d = 4.183 Å, rel. 87, hkl 0 1 1; d = 4.118 Å, rel. 68, hkl 0 1 -1; d = 4.017 Å, rel. 87, hkl 1 0 1; d = 3.993 Å, rel. 100, hkl 1 0 -1; d = 2.776 Å, rel. 43, hkl 0 1 -2; d = 2.682 Å, rel. 52, hkl 0 2 0; d = 2.530 Å, rel. 75, hkl 2 0 0; d = 2.471 Å, rel. 32, hkl 1 1 2; d = 2.434 Å, rel. 31, hkl 1 -1 2; d = 1.638 Å, rel. 32, hkl 0 0 4